(1)
Computed X-ray powder pattern of RbNaAsO4 for Cu Kα, from a PBE-relaxed structure.
No peak broadening, texture or thermal motion is included.

Cell and atoms:
a = 6.1193 Å, b = 6.1193 Å, c = 8.8028 Å
α = 90.00°, β = 90.00°, γ = 90.00°
Space group I-4 (No. 82)
Inequivalent atoms, fractional coordinates:
Rb  0.0000  0.0000  0.0000 [2 per cell]
Na  0.0000  0.0000  0.5000 [2 per cell]
As  0.0000  0.5000  0.7500 [2 per cell]
O  0.1143  0.3040  0.6345 [8 per cell]

Top 12 peaks for 10 to 80 degrees two-theta, by angle:
5.025 Å, 2θ 17.65, rel. 100
3.086 Å, 2θ 28.94, rel. 80
3.060 Å, 2θ 29.19, rel. 28
2.646 Å, 2θ 33.88, rel. 12
2.613 Å, 2θ 34.32, rel. 29
2.164 Å, 2θ 41.75, rel. 13
2.001 Å, 2θ 45.31, rel. 13
1.787 Å, 2θ 51.13, rel. 18
1.771 Å, 2θ 51.60, rel. 28
1.666 Å, 2θ 55.11, rel. 7
1.543 Å, 2θ 59.96, rel. 10
1.368 Å, 2θ 68.58, rel. 7

(2)
Computed X-ray powder pattern of Tm3Ni8Ge for Cu Kα, from a PBE-relaxed structure.
No peak broadening, texture or thermal motion is included.

Cell and atoms:
a = 4.9833 Å, b = 4.9833 Å, c = 24.1797 Å
α = 90.00°, β = 90.00°, γ = 120.00°
Space group R3m (No. 160, hexagonal axes)
Inequivalent atoms, fractional coordinates:
Tm  0.0000  0.0000  0.0000 [3 per cell]
Tm  0.0000  0.0000  0.1300 [3 per cell]
Tm  0.0000  0.0000  0.6121 [3 per cell]
Ni  0.0000  0.0000  0.3119 [3 per cell]
Ni  0.0000  0.0000  0.8128 [3 per cell]
Ni  0.0026  0.5013  0.5619 [9 per cell]
Ni  0.1679  0.3359  0.3950 [9 per cell]
Ge  0.0000  0.0000  0.4829 [3 per cell]

Top 12 peaks for 10 to 80 degrees two-theta, by angle:
2.697 Å, 2θ 33.22, rel. 15
2.492 Å, 2θ 36.05, rel. 63
2.476 Å, 2θ 36.29, rel. 51
2.124 Å, 2θ 42.56, rel. 52
2.119 Å, 2θ 42.66, rel. 100
2.109 Å, 2θ 42.87, rel. 42
2.032 Å, 2θ 44.59, rel. 28
1.435 Å, 2θ 64.97, rel. 19
1.354 Å, 2θ 69.39, rel. 33
1.352 Å, 2θ 69.53, rel. 22
1.246 Å, 2θ 76.46, rel. 24
1.238 Å, 2θ 77.04, rel. 15

(3)
Computed X-ray powder pattern of Sr3P4 for Cu Kα, from a PBE-relaxed structure.
No peak broadening, texture or thermal motion is included.

Cell and atoms:
a = 14.3651 Å, b = 17.4652 Å, c = 5.8714 Å
α = 90.00°, β = 90.00°, γ = 90.00°
Space group Fdd2 (No. 43)
Inequivalent atoms, fractional coordinates:
Sr  0.0000  0.0000  0.0000 [8 per cell]
Sr  0.0018  0.3318  0.9915 [16 per cell]
P  0.0808  0.0010  0.4963 [16 per cell]
P  0.0916  0.3270  0.5037 [16 per cell]

Top 12 peaks for 10 to 80 degrees two-theta, by angle:
3.973 Å, 2θ 22.38, rel. 58
3.591 Å, 2θ 24.79, rel. 36
3.129 Å, 2θ 28.53, rel. 100
2.717 Å, 2θ 32.96, rel. 96
2.698 Å, 2θ 33.21, rel. 94
2.359 Å, 2θ 38.15, rel. 86
2.067 Å, 2θ 43.80, rel. 62
1.838 Å, 2θ 49.58, rel. 44
1.791 Å, 2θ 50.98, rel. 21
1.558 Å, 2θ 59.30, rel. 23
1.551 Å, 2θ 59.61, rel. 22
1.290 Å, 2θ 73.42, rel. 28

(4)
Computed X-ray powder pattern of CsY5Se8 for Cu Kα, from a PBE-relaxed structure.
No peak broadening, texture or thermal motion is included.

Cell and atoms:
a = 21.2818 Å, b = 4.1583 Å, c = 10.2002 Å
α = 90.00°, β = 104.19°, γ = 90.00°
Space group Cm (No. 8)
Inequivalent atoms, fractional coordinates:
Cs  0.0000  0.0000  0.0000 [2 per cell]
Y  0.9998  0.5000  0.5004 [2 per cell]
Y  0.1558  0.0000  0.4566 [2 per cell]
Y  0.2035  0.0000  0.8419 [2 per cell]
Y  0.2962  0.5000  0.1587 [2 per cell]
Y  0.3438  0.5000  0.5440 [2 per cell]
Se  0.0778  0.0000  0.6508 [2 per cell]
Se  0.0818  0.5000  0.3125 [2 per cell]
Se  0.1683  0.5000  0.9942 [2 per cell]
Se  0.2303  0.5000  0.6486 [2 per cell]
Se  0.2693  0.0000  0.3519 [2 per cell]
Se  0.3314  0.0000  0.0064 [2 per cell]
Se  0.4178  0.0000  0.6882 [2 per cell]
Se  0.4219  0.5000  0.3500 [2 per cell]

Top 12 peaks for 10 to 80 degrees two-theta, by angle:
5.117 Å, 2θ 17.33, rel. 17
3.220 Å, 2θ 27.71, rel. 100
3.078 Å, 2θ 29.01, rel. 50
3.026 Å, 2θ 29.52, rel. 16
2.729 Å, 2θ 32.82, rel. 13
2.684 Å, 2θ 33.38, rel. 12
2.587 Å, 2θ 34.67, rel. 35
2.546 Å, 2θ 35.25, rel. 18
2.291 Å, 2θ 39.32, rel. 15
2.279 Å, 2θ 39.55, rel. 25
2.079 Å, 2θ 43.53, rel. 27
2.055 Å, 2θ 44.06, rel. 47

(5)
Computed X-ray powder pattern of LaCe2Th for Cu Kα, from a PBE-relaxed structure.
No peak broadening, texture or thermal motion is included.

Cell and atoms:
a = 3.4866 Å, b = 4.9359 Å, c = 7.0141 Å
α = 90.00°, β = 90.00°, γ = 90.00°
Space group Pmmm (No. 47)
Inequivalent atoms, fractional coordinates:
La  0.0000  0.0000  0.0000 [1 per cell]
Ce  0.5000  0.5000  0.2611 [2 per cell]
Th  0.0000  0.0000  0.5000 [1 per cell]

Top 12 peaks for 10 to 80 degrees two-theta, by angle:
7.014 Å, 2θ 12.62, rel. 11
2.859 Å, 2θ 31.29, rel. 99
2.848 Å, 2θ 31.41, rel. 99
2.471 Å, 2θ 36.36, rel. 100
1.754 Å, 2θ 52.16, rel. 12
1.747 Å, 2θ 52.38, rel. 47
1.743 Å, 2θ 52.49, rel. 12
1.493 Å, 2θ 62.17, rel. 27
1.489 Å, 2θ 62.38, rel. 56
1.429 Å, 2θ 65.27, rel. 12
1.424 Å, 2θ 65.56, rel. 12
1.236 Å, 2θ 77.15, rel. 7

(6)
Computed X-ray powder pattern of La12AlAg6 for Cu Kα, from a PBE-relaxed structure.
No peak broadening, texture or thermal motion is included.

Cell and atoms:
a = 11.4491 Å, b = 11.4491 Å, c = 14.6034 Å
α = 90.00°, β = 90.00°, γ = 120.00°
Space group R-3 (No. 148, hexagonal axes)
Inequivalent atoms, fractional coordinates:
La  0.0324  0.8361  0.3228 [18 per cell]
La  0.0553  0.2117  0.8985 [18 per cell]
Al  0.0000  0.0000  0.5000 [3 per cell]
Ag  0.0478  0.5979  0.2036 [18 per cell]

Top 12 peaks for 10 to 80 degrees two-theta, by angle:
3.630 Å, 2θ 24.52, rel. 23
3.305 Å, 2θ 26.98, rel. 14
2.802 Å, 2θ 31.94, rel. 42
2.734 Å, 2θ 32.75, rel. 35
2.702 Å, 2θ 33.15, rel. 100
2.615 Å, 2θ 34.29, rel. 72
2.574 Å, 2θ 34.86, rel. 39
2.516 Å, 2θ 35.68, rel. 14
2.304 Å, 2θ 39.10, rel. 21
1.617 Å, 2θ 56.94, rel. 16
1.521 Å, 2θ 60.92, rel. 13
1.509 Å, 2θ 61.43, rel. 23

(7)
Computed X-ray powder pattern of RbSnSb for Cu Kα, from a PBE-relaxed structure.
No peak broadening, texture or thermal motion is included.

Cell and atoms:
a = 4.5453 Å, b = 7.4425 Å, c = 8.2279 Å
α = 66.37°, β = 74.05°, γ = 72.28°
Space group P-1 (No. 2)
Inequivalent atoms, fractional coordinates:
Rb  0.0544  0.2020  0.1886 [2 per cell]
Sn  0.3274  0.2722  0.5714 [2 per cell]
Sb  0.3188  0.6348  0.2280 [2 per cell]

Top 12 peaks for 10 to 80 degrees two-theta, by angle:
6.651 Å, 2θ 13.31, rel. 21
6.116 Å, 2θ 14.48, rel. 21
3.443 Å, 2θ 25.88, rel. 48
3.325 Å, 2θ 26.81, rel. 33
3.274 Å, 2θ 27.24, rel. 21
3.080 Å, 2θ 28.99, rel. 42
3.035 Å, 2θ 29.43, rel. 100
2.705 Å, 2θ 33.12, rel. 30
2.273 Å, 2θ 39.66, rel. 31
2.154 Å, 2θ 41.94, rel. 19
1.992 Å, 2θ 45.53, rel. 25
1.810 Å, 2θ 50.43, rel. 27

(8)
Computed X-ray powder pattern of Pm2Cd2Rh3 for Cu Kα, from a PBE-relaxed structure.
No peak broadening, texture or thermal motion is included.

Cell and atoms:
a = 4.8183 Å, b = 4.8290 Å, c = 7.8596 Å
α = 72.29°, β = 89.87°, γ = 60.26°
Space group P-1 (No. 2)
Inequivalent atoms, fractional coordinates:
Pm  0.1147  0.2714  0.3399 [2 per cell]
Cd  0.3717  0.7592  0.1061 [2 per cell]
Rh  0.2423  0.0147  0.7348 [2 per cell]
Rh  0.5000  0.5000  0.5000 [1 per cell]

Top 12 peaks for 10 to 80 degrees two-theta, by angle:
7.366 Å, 2θ 12.02, rel. 12
3.329 Å, 2θ 26.78, rel. 12
3.030 Å, 2θ 29.47, rel. 13
2.515 Å, 2θ 35.69, rel. 12
2.421 Å, 2θ 37.13, rel. 51
2.412 Å, 2θ 37.28, rel. 100
2.314 Å, 2θ 38.92, rel. 38
2.303 Å, 2θ 39.12, rel. 38
2.298 Å, 2θ 39.21, rel. 38
1.673 Å, 2θ 54.88, rel. 14
1.665 Å, 2θ 55.18, rel. 27
1.369 Å, 2θ 68.53, rel. 14